No. 1
Te4W3Se2: calculated powder diffraction line list (Cu Kα), based on a crystal structure in the Materials Project, relaxed with GGA-PBE.
Kinematic intensities with the Lorentz-polarization factor, no thermal factor.

Structure:
a b c (Å): 3.4769 3.4769 32.1253
angles (deg): 90.00 90.00 120.00
Space group P3m1 (No. 156)
One atom of each set of equivalent atoms:
1 Te 0.0000 0.0000 0.0000 [1 per cell]
2 Te 0.0000 0.0000 0.1152 [1 per cell]
3 Te 0.3333 0.6667 0.2314 [1 per cell]
4 Te 0.3333 0.6667 0.3465 [1 per cell]
5 W 0.0000 0.0000 0.2890 [1 per cell]
6 W 0.0000 0.0000 0.8263 [1 per cell]
7 W 0.3333 0.6667 0.0576 [1 per cell]
8 Se 0.3333 0.6667 0.7756 [1 per cell]
9 Se 0.3333 0.6667 0.8770 [1 per cell]

The 8 most intense peaks (5° ≤ 2θ ≤ 70°), in order of rising 2θ:
5.50°, 16.063 Å, I 100, hkl 0 0 2
11.02°, 8.031 Å, I 100, hkl 0 0 4
29.67°, 3.011 Å, I 30, hkl 1 0 0
34.16°, 2.625 Å, I 49, hkl 0 1 6
35.66°, 2.518 Å, I 59, hkl 1 0 7
41.09°, 2.197 Å, I 25, hkl 0 1 10
43.15°, 2.096 Å, I 45, hkl 1 0 11
52.67°, 1.738 Å, I 33, hkl 1 1 0



No. 2
TeWSe: calculated powder diffraction line list (Cu Kα), based on a crystal structure in the Materials Project, relaxed with GGA-PBE.
Kinematic intensities with the Lorentz-polarization factor, no thermal factor.

Structure:
a b c (Å): 3.4379 3.4379 39.1929
angles (deg): 90.00 90.00 120.00
Space group P3m1 (No. 156)
One atom of each set of equivalent atoms:
1 Te 0.0000 0.0000 0.0000 [1 per cell]
2 Te 0.0000 0.0000 0.0953 [1 per cell]
3 Te 0.0000 0.0000 0.3757 [1 per cell]
4 Te 0.0000 0.0000 0.4710 [1 per cell]
5 W 0.0000 0.0000 0.2355 [1 per cell]
6 W 0.0000 0.0000 0.8598 [1 per cell]
7 W 0.3333 0.6667 0.0476 [1 per cell]
8 W 0.3333 0.6667 0.4234 [1 per cell]
9 Se 0.3333 0.6667 0.1936 [1 per cell]
10 Se 0.3333 0.6667 0.2775 [1 per cell]
11 Se 0.3333 0.6667 0.8178 [1 per cell]
12 Se 0.3333 0.6667 0.9017 [1 per cell]

The 8 most intense peaks (5° ≤ 2θ ≤ 70°), in order of rising 2θ:
6.77°, 13.064 Å, I 29, hkl 0 0 3
11.29°, 7.839 Å, I 100, hkl 0 0 5
13.56°, 6.532 Å, I 17, hkl 0 0 6
30.03°, 2.976 Å, I 39, hkl 1 0 0
35.28°, 2.544 Å, I 82, hkl 1 0 8
42.68°, 2.118 Å, I 50, hkl 0 1 13
44.42°, 2.039 Å, I 17, hkl 1 0 14
53.30°, 1.719 Å, I 30, hkl 1 1 0



No. 3
Te2W3Se4: calculated powder diffraction line list (Cu Kα), based on a crystal structure in the Materials Project, relaxed with GGA-PBE.
Kinematic intensities with the Lorentz-polarization factor, no thermal factor.

Structure:
a b c (Å): 3.3998 3.3998 31.4827
angles (deg): 90.00 90.00 120.00
Space group P-6m2 (No. 187)
One atom of each set of equivalent atoms:
1 Te 0.0000 0.0000 0.0598 [2 per cell]
2 W 0.0000 0.0000 0.2313 [2 per cell]
3 W 0.3333 0.6667 0.0000 [1 per cell]
4 Se 0.3333 0.6667 0.1787 [2 per cell]
5 Se 0.3333 0.6667 0.2840 [2 per cell]

The 8 most intense peaks (5° ≤ 2θ ≤ 70°), in order of rising 2θ:
5.61°, 15.741 Å, I 69, hkl 0 0 2
11.24°, 7.871 Å, I 100, hkl 0 0 4
30.36°, 2.944 Å, I 27, hkl 1 0 0
34.94°, 2.568 Å, I 46, hkl 1 0 6
36.47°, 2.463 Å, I 54, hkl 1 0 7
42.02°, 2.150 Å, I 22, hkl 1 0 10
44.13°, 2.052 Å, I 40, hkl 1 0 11
53.96°, 1.699 Å, I 29, hkl 1 1 0



No. 4
TeWSe: calculated powder diffraction line list (Cu Kα), based on a crystal structure in the Materials Project, relaxed with GGA-PBE.
Kinematic intensities with the Lorentz-polarization factor, no thermal factor.

Structure:
a b c (Å): 3.4375 3.4375 39.2111
angles (deg): 90.00 90.00 120.00
Space group P-3m1 (No. 164)
One atom of each set of equivalent atoms:
1 Te 0.3333 0.6667 0.3584 [2 per cell]
2 Te 0.3333 0.6667 0.4536 [2 per cell]
3 W 0.3333 0.6667 0.2182 [2 per cell]
4 W 0.3333 0.6667 0.5940 [2 per cell]
5 Se 0.3333 0.6667 0.7399 [2 per cell]
6 Se 0.3333 0.6667 0.8237 [2 per cell]

The 8 most intense peaks (5° ≤ 2θ ≤ 70°), in order of rising 2θ:
6.76°, 13.070 Å, I 20, hkl 0 0 3
11.28°, 7.842 Å, I 100, hkl 0 0 5
13.55°, 6.535 Å, I 15, hkl 0 0 6
30.04°, 2.975 Å, I 41, hkl 1 0 0
35.27°, 2.544 Å, I 81, hkl 1 0 8
42.67°, 2.119 Å, I 51, hkl 0 1 13
44.41°, 2.040 Å, I 16, hkl 1 0 14
53.31°, 1.718 Å, I 32, hkl 1 1 0



No. 5
TeWSe: calculated powder diffraction line list (Cu Kα), based on a crystal structure in the Materials Project, relaxed with GGA-PBE.
Kinematic intensities with the Lorentz-polarization factor, no thermal factor.

Structure:
a b c (Å): 3.4378 3.4378 39.1869
angles (deg): 90.00 90.00 120.00
Space group P-3m1 (No. 164)
One atom of each set of equivalent atoms:
1 Te 0.3333 0.6667 0.2342 [2 per cell]
2 Te 0.3333 0.6667 0.3294 [2 per cell]
3 W 0.3333 0.6667 0.0939 [2 per cell]
4 W 0.3333 0.6667 0.7182 [2 per cell]
5 Se 0.3333 0.6667 0.8641 [2 per cell]
6 Se 0.3333 0.6667 0.9480 [2 per cell]

The 8 most intense peaks (5° ≤ 2θ ≤ 70°), in order of rising 2θ:
6.77°, 13.062 Å, I 34, hkl 0 0 3
11.29°, 7.837 Å, I 100, hkl 0 0 5
13.56°, 6.531 Å, I 20, hkl 0 0 6
30.03°, 2.976 Å, I 37, hkl 1 0 0
35.28°, 2.544 Å, I 81, hkl 0 1 8
42.69°, 2.118 Å, I 49, hkl 1 0 13
44.42°, 2.039 Å, I 17, hkl 1 0 14
53.30°, 1.719 Å, I 28, hkl 1 1 0



No. 6
Zn2TeSe: calculated powder diffraction line list (Cu Kα), based on a crystal structure in the Materials Project, relaxed with GGA-PBE.
Kinematic intensities with the Lorentz-polarization factor, no thermal factor.

Structure:
a b c (Å): 4.2254 4.2254 20.6439
angles (deg): 90.00 90.00 120.00
Space group R3m (No. 160, hexagonal axes)
One atom of each set of equivalent atoms:
1 Zn 0.0000 0.0000 0.0000 [3 per cell]
2 Zn 0.0000 0.0000 0.4903 [3 per cell]
3 Te 0.0000 0.0000 0.6197 [3 per cell]
4 Se 0.0000 0.0000 0.1202 [3 per cell]

The 8 most intense peaks (5° ≤ 2θ ≤ 70°), in order of rising 2θ:
25.85°, 3.447 Å, I 100, hkl 0 1 2
29.93°, 2.985 Å, I 3, hkl 1 0 4
42.84°, 2.111 Å, I 73, hkl 1 1 0
50.69°, 1.801 Å, I 34, hkl 2 0 2
50.78°, 1.798 Å, I 11, hkl 1 0 10
62.20°, 1.493 Å, I 12, hkl 2 0 8
68.47°, 1.370 Å, I 14, hkl 1 2 2
68.62°, 1.368 Å, I 4, hkl 0 1 14



No. 7
ThSe: calculated powder diffraction line list (Cu Kα), based on a crystal structure in the Materials Project, relaxed with GGA-PBE.
Kinematic intensities with the Lorentz-polarization factor, no thermal factor.

Structure:
a b c (Å): 5.947 5.947 5.947
angles (deg): 90.00 90.00 90.00
Space group Fm-3m (No. 225)
One atom of each set of equivalent atoms:
1 Th 0.000 0.000 0.000 [4 per cell]
2 Se 0.000 0.000 0.500 [4 per cell]

The 7 most intense peaks (5° ≤ 2θ ≤ 70°), in order of rising 2θ:
25.95°, 3.434 Å, I 42, hkl 1 1 1
30.05°, 2.974 Å, I 100, hkl 2 0 0
43.02°, 2.103 Å, I 76, hkl 2 2 0
50.93°, 1.793 Å, I 22, hkl 3 1 1
53.36°, 1.717 Å, I 27, hkl 2 2 2
62.47°, 1.487 Å, I 13, hkl 4 0 0
68.81°, 1.364 Å, I 9, hkl 3 3 1



No. 8
ThSe: calculated powder diffraction line list (Cu Kα), based on a crystal structure in the Materials Project, relaxed with GGA-PBE.
Kinematic intensities with the Lorentz-polarization factor, no thermal factor.

Structure:
a b c (Å): 3.658 3.658 3.658
angles (deg): 90.00 90.00 90.00
Space group Pm-3m (No. 221)
One atom of each set of equivalent atoms:
1 Th 0.000 0.000 0.000 [1 per cell]
2 Se 0.500 0.500 0.500 [1 per cell]

The 6 most intense peaks (5° ≤ 2θ ≤ 70°), in order of rising 2θ:
24.33°, 3.658 Å, I 27, hkl 1 0 0
34.68°, 2.586 Å, I 100, hkl 1 1 0
42.82°, 2.112 Å, I 9, hkl 1 1 1
49.86°, 1.829 Å, I 18, hkl 2 0 0
56.23°, 1.636 Å, I 12, hkl 2 1 0
62.16°, 1.493 Å, I 38, hkl 2 1 1



No. 9
Th2Se3: calculated powder diffraction line list (Cu Kα), based on a crystal structure in the Materials Project, relaxed with GGA-PBE.
Kinematic intensities with the Lorentz-polarization factor, no thermal factor.

Structure:
a b c (Å): 11.406 4.076 11.357
angles (deg): 90.00 90.00 90.00
Space group Pnma (No. 62)
One atom of each set of equivalent atoms:
1 Th 0.020 0.250 0.185 [4 per cell]
2 Th 0.199 0.250 0.514 [4 per cell]
3 Se 0.051 0.750 0.379 [4 per cell]
4 Se 0.123 0.250 0.943 [4 per cell]
5 Se 0.220 0.750 0.707 [4 per cell]

The 8 most intense peaks (5° ≤ 2θ ≤ 70°), in order of rising 2θ:
22.09°, 4.024 Å, I 64, hkl 2 0 2
24.74°, 3.599 Å, I 54, hkl 3 0 1
28.05°, 3.181 Å, I 57, hkl 1 1 2
32.30°, 2.771 Å, I 59, hkl 0 1 3
33.21°, 2.698 Å, I 100, hkl 1 1 3
41.82°, 2.160 Å, I 54, hkl 4 1 2
44.45°, 2.038 Å, I 38, hkl 0 2 0
66.31°, 1.410 Å, I 35, hkl 3 2 5



No. 10
Th3Se: calculated powder diffraction line list (Cu Kα), based on a crystal structure in the Materials Project, relaxed with GGA-PBE.
Kinematic intensities with the Lorentz-polarization factor, no thermal factor.

Structure:
a b c (Å): 6.8563 6.8563 5.5917
angles (deg): 90.00 90.00 120.00
Space group P6_3/mmc (No. 194)
One atom of each set of equivalent atoms:
1 Th 0.1699 0.3398 0.2500 [6 per cell]
2 Se 0.3333 0.6667 0.7500 [2 per cell]

The 8 most intense peaks (5° ≤ 2θ ≤ 70°), in order of rising 2θ:
30.10°, 2.969 Å, I 23, hkl 2 0 0
32.01°, 2.796 Å, I 26, hkl 0 0 2
34.19°, 2.622 Å, I 100, hkl 2 0 1
44.51°, 2.035 Å, I 16, hkl 2 0 2
53.46°, 1.714 Å, I 19, hkl 2 2 0
58.46°, 1.579 Å, I 24, hkl 2 0 3
63.68°, 1.461 Å, I 23, hkl 2 2 2
65.01°, 1.435 Å, I 17, hkl 4 0 1



No. 11
ThSe2: calculated powder diffraction line list (Cu Kα), based on a crystal structure in the Materials Project, relaxed with GGA-PBE.
Kinematic intensities with the Lorentz-polarization factor, no thermal factor.

Structure:
a b c (Å): 7.638 4.452 9.119
angles (deg): 90.00 90.00 90.00
Space group Pnma (No. 62)
One atom of each set of equivalent atoms:
1 Th 0.250 0.250 0.121 [4 per cell]
2 Se 0.029 0.250 0.836 [4 per cell]
3 Se 0.140 0.250 0.430 [4 per cell]

The 8 most intense peaks (5° ≤ 2θ ≤ 70°), in order of rising 2θ:
22.22°, 4.001 Å, I 36, hkl 0 1 1
22.71°, 3.915 Å, I 62, hkl 1 0 2
25.13°, 3.544 Å, I 47, hkl 1 1 1
32.41°, 2.762 Å, I 100, hkl 2 1 1
35.77°, 2.510 Å, I 44, hkl 0 1 3
37.72°, 2.385 Å, I 41, hkl 1 1 3
40.56°, 2.224 Å, I 85, hkl 0 2 0
43.12°, 2.098 Å, I 32, hkl 2 1 3



No. 12
ThUSe2: calculated powder diffraction line list (Cu Kα), based on a crystal structure in the Materials Project, relaxed with GGA-PBE.
Kinematic intensities with the Lorentz-polarization factor, no thermal factor.

Structure:
a b c (Å): 4.142 4.142 5.866
angles (deg): 90.00 90.00 90.00
Space group P4/mmm (No. 123)
One atom of each set of equivalent atoms:
1 Th 0.000 0.000 0.000 [1 per cell]
2 U 0.500 0.500 0.500 [1 per cell]
3 Se 0.000 0.000 0.500 [1 per cell]
4 Se 0.500 0.500 0.000 [1 per cell]

The 7 most intense peaks (5° ≤ 2θ ≤ 70°), in order of rising 2θ:
26.34°, 3.383 Å, I 43, hkl 1 0 1
30.51°, 2.930 Å, I 100, hkl 1 1 0
43.69°, 2.072 Å, I 76, hkl 2 0 0
51.74°, 1.767 Å, I 22, hkl 2 1 1
54.22°, 1.692 Å, I 27, hkl 2 0 2
63.50°, 1.465 Å, I 13, hkl 2 2 0
69.96°, 1.345 Å, I 6, hkl 2 1 3



No. 13
Ti11Se4: calculated powder diffraction line list (Cu Kα), based on a crystal structure in the Materials Project, relaxed with GGA-PBE.
Kinematic intensities with the Lorentz-polarization factor, no thermal factor.

Structure:
a b c (Å): 25.599 3.440 19.264
angles (deg): 90.00 117.88 90.00
Space group C2/m (No. 12)
One atom of each set of equivalent atoms:
1 Ti 0.000 0.000 0.000 [2 per cell]
2 Ti 0.003 0.000 0.246 [4 per cell]
3 Ti 0.012 0.500 0.125 [4 per cell]
4 Ti 0.024 0.000 0.433 [4 per cell]
5 Ti 0.068 0.500 0.572 [4 per cell]
6 Ti 0.083 0.000 0.937 [4 per cell]
7 Ti 0.097 0.500 0.065 [4 per cell]
8 Ti 0.098 0.500 0.834 [4 per cell]
9 Ti 0.118 0.000 0.199 [4 per cell]
10 Ti 0.118 0.000 0.711 [4 per cell]
11 Ti 0.145 0.000 0.396 [4 per cell]
12 Ti 0.160 0.000 0.583 [4 per cell]
13 Ti 0.199 0.000 0.100 [4 per cell]
14 Ti 0.211 0.000 0.930 [4 per cell]
15 Ti 0.211 0.500 0.346 [4 per cell]
16 Ti 0.222 0.500 0.706 [4 per cell]
17 Ti 0.229 0.500 0.534 [4 per cell]
18 Se 0.031 0.500 0.680 [4 per cell]
19 Se 0.090 0.500 0.281 [4 per cell]
20 Se 0.109 0.500 0.468 [4 per cell]
21 Se 0.168 0.500 0.990 [4 per cell]
22 Se 0.191 0.500 0.815 [4 per cell]
23 Se 0.196 0.500 0.201 [4 per cell]

The 8 most intense peaks (5° ≤ 2θ ≤ 70°), in order of rising 2θ:
35.93°, 2.500 Å, I 36, hkl 7 1 -2
37.22°, 2.416 Å, I 52, hkl 5 1 2
38.34°, 2.348 Å, I 37, hkl 7 1 -5
38.46°, 2.341 Å, I 56, hkl 3 1 -6
38.70°, 2.327 Å, I 100, hkl 5 1 -6
38.88°, 2.316 Å, I 62, hkl 3 1 4
42.86°, 2.110 Å, I 86, hkl 3 1 5
53.25°, 1.720 Å, I 68, hkl 0 2 0